Computed powder diffraction line list of V2Co2Se2O11 for λ = 1.5418 Å (Cu Kα), from a crystal structure in the Materials Project, relaxed with PBE+U.

Structural model:
```
V2Co2Se2O11
1.0
4.8910 0.0000 0.0000
0.0000 9.0192 0.0000
-2.0762 0.0000 10.5271
V Co Se O
4 4 4 22
Direct
0.0329 0.0614 0.3499
0.0329 0.4386 0.3499
0.9671 0.5614 0.6501
0.9671 0.9386 0.6501
0.4577 0.5719 0.1327
0.4577 0.9281 0.1327
0.5423 0.0719 0.8673
0.5423 0.4281 0.8673
0.1138 0.2500 0.0468
0.3584 0.2500 0.6013
0.6416 0.7500 0.3987
0.8862 0.7500 0.9532
0.1234 0.0997 0.5470
0.1234 0.4003 0.5470
0.1781 0.2500 0.3504
0.1924 0.7500 0.0684
0.2583 0.5756 0.7602
0.2583 0.9244 0.7602
0.2618 0.5403 0.2874
0.2618 0.9597 0.2874
0.2922 0.0978 0.0018
0.2922 0.4022 0.0018
0.3294 0.2500 0.7557
0.6706 0.7500 0.2443
0.7078 0.5978 0.9982
0.7078 0.9022 0.9982
0.7382 0.0403 0.7126
0.7382 0.4597 0.7126
0.7417 0.0756 0.2398
0.7417 0.4244 0.2398
0.8076 0.2500 0.9316
0.8219 0.7500 0.6496
0.8766 0.5997 0.4530
0.8766 0.9003 0.4530
```

The 6 most intense peaks (2θ from 5° to 70°), by intensity:
2θ 29.53, intensity 100; 2θ 21.23, intensity 88; 2θ 34.35, intensity 74; 2θ 20.97, intensity 65; 2θ 35.57, intensity 54; 2θ 27.33, intensity 48